Computed powder diffraction line list
Compound: VGe2BiO8
Radiation: Cu Kα (weighted mean of Kα1 and Kα2)
Structure: a structure optimized by DFT (GGA+U)

Cell: 5.2526 5.2526 6.6653 Å, 90.00 90.00 120.00°
Space group P-3 (No. 147)
Symmetry-distinct sites (fractional):
V1 0.0000 0.0000 0.0000 [1 per cell]
Ge1 0.3333 0.6667 0.2596 [2 per cell]
Bi1 0.0000 0.0000 0.5000 [1 per cell]
O1 0.0717 0.3083 0.1763 [6 per cell]
O2 0.3333 0.6667 0.5185 [2 per cell]

Principal peaks in the range 10 to 90 degrees two-theta, in order of rising 2θ:
13.28°, I 340, (0 0 1); 19.51°, I 700, (1 0 0); 23.68°, I 910, (1 0 1); 33.33°, I 1000, (0 1 2); 34.14°, I 827, (1 1 0); 36.78°, I 416, (1 1 1); 48.46°, I 443, (0 2 2); 55.16°, I 290, (0 0 4); 60.60°, I 410, (3 -2 2); 66.45°, I 280, (1 1 4)